The following is a computed X-ray diffraction stick pattern of La2Mn2O5. It was derived from a DFT-relaxed cell (GGA+U, the Materials Project), using Cu Kα (weighted mean of Kα1 and Kα2).
Kinematic intensities with the Lorentz-polarization factor, no thermal factor.

Top 8 peaks for 2θ from 5° to 70°, most intense first:
2θ (°), Rel. int.
31.4, 100
31.0, 30
30.1, 29
43.8, 28
21.5, 24
55.4, 23
54.3, 23
46.2, 13

Structure:
```
La2Mn2O5
1.0
4.138 -7.868 0.000
4.138 7.868 0.000
-4.019 0.000 4.139
La Mn O
4 4 10
Direct
0.138 0.862 0.000
0.392 0.667 0.029
0.667 0.392 0.029
0.862 0.138 0.000
0.062 0.062 0.578
0.265 0.764 0.497
0.468 0.468 0.483
0.764 0.265 0.497
0.016 0.799 0.316
0.030 0.475 0.994
0.054 0.498 0.517
0.134 0.134 0.011
0.395 0.395 0.771
0.475 0.030 0.994
0.498 0.054 0.517
0.512 0.729 0.529
0.729 0.512 0.529
0.799 0.016 0.316
```


The following is a computed X-ray diffraction stick pattern of LaFeO3. It was derived from a DFT-relaxed cell (GGA+U, the Materials Project), using Cu Kα (weighted mean of Kα1 and Kα2).
Kinematic intensities with the Lorentz-polarization factor, no thermal factor.

Top 8 peaks for 2θ from 5° to 70°, most intense first:
2θ (°), Rel. int.
31.8, 100
56.9, 33
45.6, 26
32.0, 24
31.6, 23
22.3, 22
45.7, 15
56.4, 14

Structure:
```
LaFeO3
1.0
5.662 0.000 0.000
0.000 7.945 0.000
0.000 0.000 5.601
La Fe O
4 4 12
Direct
0.038 0.250 0.009
0.462 0.750 0.509
0.538 0.250 0.491
0.962 0.750 0.991
0.000 0.000 0.500
0.000 0.500 0.500
0.500 0.000 0.000
0.500 0.500 0.000
0.022 0.750 0.414
0.212 0.546 0.787
0.212 0.954 0.787
0.288 0.046 0.287
0.288 0.454 0.287
0.478 0.250 0.914
0.522 0.750 0.086
0.712 0.546 0.713
0.712 0.954 0.713
0.788 0.046 0.213
0.788 0.454 0.213
0.978 0.250 0.586
```


The following is a computed X-ray diffraction stick pattern of UCrO9. It was derived from a DFT-relaxed cell (GGA+U, the Materials Project), using Cu Kα (weighted mean of Kα1 and Kα2).
Kinematic intensities with the Lorentz-polarization factor, no thermal factor.

Top 8 peaks for 2θ from 5° to 70°, most intense first:
2θ (°), Rel. int.
10.8, 100
24.5, 90
17.1, 70
19.5, 59
16.3, 53
26.9, 48
22.0, 43
15.0, 41

Structure:
```
UCrO9
1.0
10.220 0.000 0.000
0.000 7.255 0.000
-1.119 0.000 12.103
U Cr O
4 4 36
Direct
0.046 0.000 0.331
0.348 0.987 0.864
0.652 0.487 0.136
0.954 0.500 0.669
0.119 0.502 0.398
0.441 0.482 0.853
0.559 0.982 0.147
0.881 0.002 0.602
0.049 0.690 0.335
0.053 0.310 0.336
0.082 0.502 0.780
0.092 0.503 0.534
0.096 0.470 0.079
0.179 0.982 0.896
0.188 0.998 0.430
0.200 0.934 0.154
0.217 0.103 0.155
0.274 0.505 0.387
0.311 0.990 0.652
0.344 0.296 0.868
0.352 0.679 0.855
0.356 0.832 0.613
0.425 0.843 0.534
0.437 0.985 0.043
0.487 0.491 0.178
0.497 0.968 0.263
0.503 0.468 0.737
0.513 0.991 0.822
0.563 0.485 0.957
0.575 0.343 0.466
0.644 0.332 0.387
0.648 0.179 0.145
0.656 0.796 0.132
0.689 0.490 0.348
0.726 0.005 0.613
0.783 0.603 0.845
0.800 0.434 0.846
0.812 0.498 0.570
0.821 0.482 0.104
0.904 0.970 0.921
0.908 0.003 0.466
0.918 0.002 0.220
0.947 0.810 0.664
0.951 0.190 0.665
```


The following is a computed X-ray diffraction stick pattern of SmFeO3. It was derived from a DFT-relaxed cell (GGA+U, the Materials Project), using Cu Kα (weighted mean of Kα1 and Kα2).
Kinematic intensities with the Lorentz-polarization factor, no thermal factor.

Top 8 peaks for 2θ from 5° to 70°, most intense first:
2θ (°), Rel. int.
32.3, 100
32.9, 24
58.3, 22
31.5, 20
46.2, 20
22.6, 17
25.4, 17
52.5, 16

Structure:
```
SmFeO3
1.0
5.680 0.000 0.000
0.000 7.815 0.000
0.000 0.000 5.449
Sm Fe O
4 4 12
Direct
0.060 0.250 0.015
0.440 0.750 0.515
0.560 0.250 0.485
0.940 0.750 0.985
0.000 0.000 0.500
0.000 0.500 0.500
0.500 0.000 0.000
0.500 0.500 0.000
0.034 0.750 0.397
0.199 0.554 0.802
0.199 0.946 0.802
0.301 0.054 0.302
0.301 0.446 0.302
0.466 0.250 0.897
0.534 0.750 0.103
0.699 0.554 0.698
0.699 0.946 0.698
0.801 0.054 0.198
0.801 0.446 0.198
0.966 0.250 0.603
```


The following is a computed X-ray diffraction stick pattern of Li2V5NiO12. It was derived from a DFT-relaxed cell (GGA+U, the Materials Project), using Cu Kα (weighted mean of Kα1 and Kα2).
Kinematic intensities with the Lorentz-polarization factor, no thermal factor.

Top 8 peaks for 2θ from 5° to 70°, most intense first:
2θ (°), Rel. int.
28.3, 100
29.8, 60
33.1, 44
19.8, 29
18.6, 26
23.8, 26
35.4, 24
13.6, 22

Structure:
```
Li2V5NiO12
1.0
5.091 -4.480 0.000
5.091 4.480 0.000
-2.029 0.000 5.407
Li V Ni O
2 5 1 12
Direct
0.000 0.000 0.000
0.500 0.500 0.500
0.137 0.457 0.018
0.352 0.057 0.487
0.543 0.863 0.982
0.661 0.339 0.000
0.943 0.648 0.513
0.836 0.164 0.500
0.086 0.631 0.818
0.109 0.164 0.442
0.120 0.609 0.317
0.369 0.914 0.182
0.387 0.354 0.059
0.391 0.880 0.683
0.543 0.237 0.614
0.646 0.613 0.941
0.724 0.053 0.090
0.763 0.457 0.386
0.836 0.891 0.558
0.947 0.276 0.910
```